# Tl2NiBiF6
Simulated XRD peak list, Cu Kα X-rays. Input: the PBE+U geometry in Alexandria.
Kinematic intensities with the Lorentz-polarization factor, no thermal factor.

```
data_Tl2NiBiF6
_space_group_name_H-M_alt 'P 1'
_space_group_IT_number 1
_space_group_name_Hall 'P 1'
_cell_length_a 6.2805
_cell_length_b 6.2805
_cell_length_c 6.2805
_cell_angle_alpha 124.42
_cell_angle_beta 113.47
_cell_angle_gamma 92.09
loop_
_atom_site_label
_atom_site_fract_x
_atom_site_fract_y
_atom_site_fract_z
Tl1 0.2397 0.2397 0.0000
Tl2 0.7603 0.7603 0.0000
Ni1 0.0000 0.5000 0.5000
Bi1 0.5000 0.0000 0.5000
F1 0.2009 0.2416 0.4425
F2 0.2009 0.7584 0.9592
F3 0.2349 0.7349 0.5000
F4 0.7651 0.2651 0.5000
F5 0.7991 0.2416 0.0408
F6 0.7991 0.7584 0.5575
```

Main lines, sorted by position (10 to 80 degrees two-theta):
18.2 deg, d 4.861, rel. 10; 25.9 deg, d 3.445, rel. 34; 28.6 deg, d 3.118, rel. 100; 30.5 deg, d 2.928, rel. 22; 40.4 deg, d 2.231, rel. 31; 41.4 deg, d 2.180, rel. 14; 47.4 deg, d 1.920, rel. 26; 49.5 deg, d 1.842, rel. 12; 52.3 deg, d 1.748, rel. 9; 53.1 deg, d 1.724, rel. 25; 59.3 deg, d 1.559, rel. 19; 66.4 deg, d 1.408, rel. 10